# 1
For Sr3W2O9, a structure optimized by DFT (PBE+U) gives the computed X-ray powder pattern in this record (Cu Ka).
Kinematic intensities with the Lorentz-polarization factor, no thermal factor.

```
Sr3W2O9
1.0
9.1636 0.0000 0.0000
0.0000 8.0894 0.0000
-4.5605 0.0000 8.7937
Sr W O
6 4 18
Direct
0.0000 0.0000 0.0000
0.0000 0.5000 0.0000
0.1492 0.2500 0.7666
0.3814 0.2500 0.2347
0.6186 0.7500 0.7653
0.8508 0.7500 0.2334
0.1404 0.7500 0.7139
0.4252 0.7500 0.2848
0.5748 0.2500 0.7152
0.8596 0.2500 0.2861
0.0333 0.7500 0.5092
0.0865 0.5642 0.7871
0.0865 0.9358 0.7871
0.1388 0.2500 0.0004
0.2981 0.5642 0.2137
0.2981 0.9358 0.2137
0.3589 0.7500 0.7744
0.4199 0.2500 0.7800
0.4736 0.2500 0.5104
0.5264 0.7500 0.4896
0.5801 0.7500 0.2200
0.6411 0.2500 0.2256
0.7019 0.0642 0.7863
0.7019 0.4358 0.7863
0.8612 0.7500 0.9996
0.9135 0.0642 0.2129
0.9135 0.4358 0.2129
0.9667 0.2500 0.4908
```

Most intense lines, 2θ = 10–90°, in order of falling intensity:
2θ/deg	I/Imax
28.13	100
29.46	96
19.37	96
21.08	84
30.02	81
20.20	81
21.98	76
17.96	35
50.25	32
24.58	32
35.98	30
15.46	29

=====

# 2
For Sr3W2O9, a structure optimized by DFT (PBE+U) gives the computed X-ray powder pattern in this record (Cu Ka).
Kinematic intensities with the Lorentz-polarization factor, no thermal factor.

```
Sr3W2O9
1.0
4.9622 2.8649 4.6100
-4.9622 2.8649 4.6100
0.0000 -5.7299 4.6100
Sr W O
6 4 18
Direct
0.0748 0.7500 0.4252
0.2500 0.5748 0.9252
0.4252 0.0748 0.7500
0.5748 0.9252 0.2500
0.7500 0.4252 0.0748
0.9252 0.2500 0.5748
0.1435 0.1435 0.1435
0.3565 0.3565 0.3565
0.6435 0.6435 0.6435
0.8565 0.8565 0.8565
0.0786 0.9195 0.7407
0.0805 0.2593 0.9214
0.0996 0.4004 0.2500
0.2407 0.4195 0.5786
0.2500 0.0996 0.4004
0.2593 0.9214 0.0805
0.4004 0.2500 0.0996
0.4195 0.5786 0.2407
0.4214 0.7593 0.5805
0.5786 0.2407 0.4195
0.5805 0.4214 0.7593
0.5996 0.7500 0.9004
0.7407 0.0786 0.9195
0.7500 0.9004 0.5996
0.7593 0.5805 0.4214
0.9004 0.5996 0.7500
0.9195 0.7407 0.0786
0.9214 0.0805 0.2593
```

Most intense lines, 2θ = 10–90°, in order of falling intensity:
2θ/deg	I/Imax
31.22	100
17.88	79
27.81	41
38.01	36
41.32	34
26.39	32
33.26	29
43.28	28
54.32	23
55.56	20
46.26	20
65.12	19

=====

# 3
For Sr5W3O14, a structure optimized by DFT (PBE+U) gives the computed X-ray powder pattern in this record (Cu Ka).
Kinematic intensities with the Lorentz-polarization factor, no thermal factor.

```
Sr5W3O14
1.0
5.4516 -5.4092 0.0000
5.4516 5.4092 0.0000
-0.0011 0.0000 11.0834
Sr W O
10 6 28
Direct
0.0006 0.9994 0.5000
0.0182 0.4915 0.4689
0.2506 0.7463 0.7226
0.4915 0.0182 0.9689
0.4990 0.5005 0.9490
0.5005 0.4990 0.4490
0.5189 0.9917 0.4793
0.7463 0.2506 0.2226
0.9917 0.5189 0.9793
0.9994 0.0006 0.0000
0.2495 0.2498 0.2248
0.2498 0.2495 0.7248
0.2505 0.7504 0.2245
0.7493 0.7499 0.7240
0.7504 0.2505 0.7245
0.7499 0.7493 0.2240
0.0003 0.7448 0.1807
0.0527 0.2764 0.1154
0.0784 0.2176 0.3504
0.2000 0.7893 0.3916
0.2176 0.0784 0.8504
0.2203 0.4458 0.8337
0.2454 0.5003 0.2682
0.2524 0.9963 0.1814
0.2764 0.0527 0.6154
0.2795 0.4207 0.5986
0.2894 0.7000 0.0574
0.4207 0.2795 0.0986
0.4458 0.2203 0.3337
0.4963 0.7527 0.2675
0.5003 0.2454 0.7682
0.5518 0.7756 0.8332
0.5768 0.7178 0.5986
0.7000 0.2894 0.5574
0.7178 0.5768 0.0986
0.7201 0.9450 0.1150
0.7448 0.0003 0.6807
0.7527 0.4963 0.7675
0.7756 0.5518 0.3332
0.7803 0.9188 0.3506
0.7893 0.2000 0.8916
0.9188 0.7803 0.8506
0.9450 0.7201 0.6150
0.9963 0.2524 0.6814
```

Most intense lines, 2θ = 10–90°, in order of falling intensity:
2θ/deg	I/Imax
28.28	100
47.35	16
55.89	15
55.18	15
56.24	14
32.86	14
32.31	13
46.75	13
33.12	13
46.95	13
15.99	12
58.49	12

=====

# 4
For SrW3O9, a structure optimized by DFT (PBE+U) gives the computed X-ray powder pattern in this record (Cu Ka).
Kinematic intensities with the Lorentz-polarization factor, no thermal factor.

```
SrW3O9
1.0
5.6678 0.0000 0.0000
0.0000 7.6887 0.0000
-0.4530 0.0000 8.2501
Sr W O
2 6 18
Direct
0.0328 0.2500 0.4323
0.9672 0.7500 0.5677
0.0000 0.0000 0.0000
0.0000 0.5000 0.0000
0.4691 0.0023 0.6936
0.4691 0.4977 0.6936
0.5309 0.5023 0.3064
0.5309 0.9977 0.3064
0.0558 0.2500 0.9900
0.1737 0.5411 0.7953
0.1737 0.9589 0.7953
0.2802 0.5303 0.4794
0.2802 0.9697 0.4794
0.3027 0.5336 0.1380
0.3027 0.9664 0.1380
0.3945 0.2500 0.6782
0.4617 0.2500 0.3076
0.5383 0.7500 0.6924
0.6055 0.7500 0.3218
0.6973 0.0336 0.8620
0.6973 0.4664 0.8620
0.7198 0.0303 0.5206
0.7198 0.4697 0.5206
0.8263 0.0411 0.2047
0.8263 0.4589 0.2047
0.9442 0.7500 0.0100
```

Most intense lines, 2θ = 10–90°, in order of falling intensity:
2θ/deg	I/Imax
23.14	100
26.02	99
30.43	73
19.50	64
27.45	62
31.62	56
47.31	52
35.10	46
29.80	38
53.33	33
32.56	32
40.32	31

=====

Copy entry 2 word for word.
For Sr3W2O9, a structure optimized by DFT (PBE+U) gives the computed X-ray powder pattern in this record (Cu Ka).
Kinematic intensities with the Lorentz-polarization factor, no thermal factor.

```
Sr3W2O9
1.0
4.9622 2.8649 4.6100
-4.9622 2.8649 4.6100
0.0000 -5.7299 4.6100
Sr W O
6 4 18
Direct
0.0748 0.7500 0.4252
0.2500 0.5748 0.9252
0.4252 0.0748 0.7500
0.5748 0.9252 0.2500
0.7500 0.4252 0.0748
0.9252 0.2500 0.5748
0.1435 0.1435 0.1435
0.3565 0.3565 0.3565
0.6435 0.6435 0.6435
0.8565 0.8565 0.8565
0.0786 0.9195 0.7407
0.0805 0.2593 0.9214
0.0996 0.4004 0.2500
0.2407 0.4195 0.5786
0.2500 0.0996 0.4004
0.2593 0.9214 0.0805
0.4004 0.2500 0.0996
0.4195 0.5786 0.2407
0.4214 0.7593 0.5805
0.5786 0.2407 0.4195
0.5805 0.4214 0.7593
0.5996 0.7500 0.9004
0.7407 0.0786 0.9195
0.7500 0.9004 0.5996
0.7593 0.5805 0.4214
0.9004 0.5996 0.7500
0.9195 0.7407 0.0786
0.9214 0.0805 0.2593
```

Most intense lines, 2θ = 10–90°, in order of falling intensity:
2θ/deg	I/Imax
31.22	100
17.88	79
27.81	41
38.01	36
41.32	34
26.39	32
33.26	29
43.28	28
54.32	23
55.56	20
46.26	20
65.12	19

=====

Copy entry 3 word for word.
For Sr5W3O14, a structure optimized by DFT (PBE+U) gives the computed X-ray powder pattern in this record (Cu Ka).
Kinematic intensities with the Lorentz-polarization factor, no thermal factor.

```
Sr5W3O14
1.0
5.4516 -5.4092 0.0000
5.4516 5.4092 0.0000
-0.0011 0.0000 11.0834
Sr W O
10 6 28
Direct
0.0006 0.9994 0.5000
0.0182 0.4915 0.4689
0.2506 0.7463 0.7226
0.4915 0.0182 0.9689
0.4990 0.5005 0.9490
0.5005 0.4990 0.4490
0.5189 0.9917 0.4793
0.7463 0.2506 0.2226
0.9917 0.5189 0.9793
0.9994 0.0006 0.0000
0.2495 0.2498 0.2248
0.2498 0.2495 0.7248
0.2505 0.7504 0.2245
0.7493 0.7499 0.7240
0.7504 0.2505 0.7245
0.7499 0.7493 0.2240
0.0003 0.7448 0.1807
0.0527 0.2764 0.1154
0.0784 0.2176 0.3504
0.2000 0.7893 0.3916
0.2176 0.0784 0.8504
0.2203 0.4458 0.8337
0.2454 0.5003 0.2682
0.2524 0.9963 0.1814
0.2764 0.0527 0.6154
0.2795 0.4207 0.5986
0.2894 0.7000 0.0574
0.4207 0.2795 0.0986
0.4458 0.2203 0.3337
0.4963 0.7527 0.2675
0.5003 0.2454 0.7682
0.5518 0.7756 0.8332
0.5768 0.7178 0.5986
0.7000 0.2894 0.5574
0.7178 0.5768 0.0986
0.7201 0.9450 0.1150
0.7448 0.0003 0.6807
0.7527 0.4963 0.7675
0.7756 0.5518 0.3332
0.7803 0.9188 0.3506
0.7893 0.2000 0.8916
0.9188 0.7803 0.8506
0.9450 0.7201 0.6150
0.9963 0.2524 0.6814
```

Most intense lines, 2θ = 10–90°, in order of falling intensity:
2θ/deg	I/Imax
28.28	100
47.35	16
55.89	15
55.18	15
56.24	14
32.86	14
32.31	13
46.75	13
33.12	13
46.95	13
15.99	12
58.49	12